(1)
Starting from a crystal structure in the Materials Project, relaxed with GGA-PBE, the powder XRD pattern of BiB6 was computed for Cu Kα, 1.54184 Å.

Top 10 peaks for 2θ from 10° to 90°, in order of rising 2θ:
| 2θ/deg | I (rel.) |
| --- | --- |
| 21.1 | 76 |
| 30.0 | 100 |
| 36.9 | 41 |
| 42.9 | 21 |
| 48.3 | 53 |
| 53.2 | 32 |
| 66.6 | 29 |
| 70.7 | 21 |
| 74.7 | 15 |
| 86.4 | 21 |

Structure:
Cell: 4.2140 4.2140 4.2140 Å, 90.00 90.00 90.00°
Fractional positions:
Bi 0.0000 0.0000 0.0000
B 0.2017 0.5000 0.5000
B 0.5000 0.2017 0.5000
B 0.5000 0.5000 0.2017
B 0.5000 0.5000 0.7983
B 0.5000 0.7983 0.5000
B 0.7983 0.5000 0.5000

(2)
Starting from a crystal structure in the Materials Project, relaxed with GGA-PBE, the powder XRD pattern of Ca2Ga2BiB4O14 was computed for Cu Kα, 1.54184 Å.

Top 10 peaks for 2θ from 10° to 90°, in order of rising 2θ:
| 2θ/deg | I (rel.) |
| --- | --- |
| 13.9 | 83 |
| 16.8 | 74 |
| 21.9 | 43 |
| 24.2 | 100 |
| 27.3 | 35 |
| 29.1 | 47 |
| 30.8 | 51 |
| 31.6 | 46 |
| 34.5 | 38 |
| 35.0 | 54 |

Structure:
Cell: 9.1626 9.1626 6.8410 Å, 94.18 94.18 88.42°
Fractional positions:
Ca 0.1401 0.1401 0.4024
Ca 0.2514 0.1087 0.9165
Ca 0.8599 0.8599 0.5976
Ca 0.8913 0.7486 0.0835
Ga 0.0031 0.3617 0.7385
Ga 0.3079 0.6921 0.0000
Ga 0.6383 0.9970 0.2615
Ga 0.8161 0.1839 0.0000
Bi 0.3897 0.4350 0.7016
Bi 0.5650 0.6103 0.2984
B 0.2265 0.7686 0.6832
B 0.2314 0.7735 0.3168
B 0.3099 0.3980 0.2081
B 0.5670 0.0511 0.8137
B 0.6020 0.6901 0.7919
B 0.6426 0.1594 0.5291
B 0.8406 0.3574 0.4709
B 0.9489 0.4330 0.1863
O 0.0064 0.4492 0.0160
O 0.0137 0.1047 0.0188
O 0.1365 0.7412 0.1587
O 0.1840 0.8160 0.5000
O 0.1962 0.2902 0.7007
O 0.2183 0.6228 0.7290
O 0.2588 0.8635 0.8413
O 0.2671 0.2567 0.1898
O 0.3290 0.4829 0.0498
O 0.3483 0.4728 0.3880
O 0.3772 0.7817 0.2710
O 0.4374 0.0815 0.6908
O 0.4790 0.1839 0.5467
O 0.5171 0.6710 0.9502
O 0.5272 0.6517 0.6120
O 0.5508 0.9936 0.9840
O 0.6269 0.2638 0.0393
O 0.6900 0.0806 0.7090
O 0.7093 0.2907 0.5000
O 0.7098 0.8038 0.2993
O 0.7362 0.3731 0.9607
O 0.7433 0.7329 0.8102
O 0.8161 0.5210 0.4533
O 0.8953 0.9863 0.9812
O 0.9194 0.3100 0.2910
O 0.9185 0.5626 0.3092
O 0.9365 0.0150 0.3946
O 0.9850 0.0635 0.6054

(3)
Starting from a crystal structure in the Materials Project, relaxed with GGA-PBE, the powder XRD pattern of CaBi2B2O7 was computed for Cu Kα, 1.54184 Å.

Top 10 peaks for 2θ from 10° to 90°, in order of rising 2θ:
| 2θ/deg | I (rel.) |
| --- | --- |
| 18.8 | 29 |
| 20.0 | 41 |
| 28.0 | 25 |
| 28.2 | 100 |
| 28.9 | 45 |
| 34.0 | 46 |
| 43.8 | 25 |
| 45.7 | 22 |
| 53.9 | 23 |
| 55.5 | 24 |

Structure:
Cell: 8.9837 12.7652 5.5629 Å, 90.00 90.00 90.00°
Fractional positions:
Ca 0.1743 0.2500 0.0539
Ca 0.3257 0.7500 0.5539
Ca 0.6743 0.2500 0.4461
Ca 0.8257 0.7500 0.9461
Bi 0.1676 0.5916 0.0664
Bi 0.1676 0.9084 0.0664
Bi 0.3324 0.0916 0.5664
Bi 0.3324 0.4084 0.5664
Bi 0.6676 0.5916 0.4336
Bi 0.6676 0.9084 0.4336
Bi 0.8324 0.0916 0.9336
Bi 0.8324 0.4084 0.9336
B 0.0238 0.1201 0.5150
B 0.0238 0.3799 0.5150
B 0.4762 0.6201 0.0150
B 0.4762 0.8799 0.0150
B 0.5238 0.1201 0.9850
B 0.5238 0.3799 0.9850
B 0.9762 0.6201 0.4850
B 0.9762 0.8799 0.4850
O 0.1018 0.1108 0.3042
O 0.1018 0.3892 0.3042
O 0.1075 0.1213 0.7299
O 0.1075 0.3787 0.7299
O 0.1274 0.7500 0.9641
O 0.1286 0.6246 0.4630
O 0.1286 0.8754 0.4630
O 0.3714 0.1246 0.9630
O 0.3714 0.3754 0.9630
O 0.3726 0.2500 0.4641
O 0.3925 0.6213 0.2299
O 0.3925 0.8787 0.2299
O 0.3982 0.6108 0.8042
O 0.3982 0.8892 0.8042
O 0.6018 0.1108 0.1958
O 0.6018 0.3892 0.1958
O 0.6075 0.1213 0.7701
O 0.6075 0.3787 0.7701
O 0.6274 0.7500 0.5359
O 0.6286 0.6246 0.0370
O 0.6286 0.8754 0.0370
O 0.8714 0.1246 0.5370
O 0.8714 0.3754 0.5370
O 0.8726 0.2500 0.0359
O 0.8925 0.6213 0.2701
O 0.8925 0.8787 0.2701
O 0.8982 0.6108 0.6958
O 0.8982 0.8892 0.6958

(4)
Starting from a crystal structure in the Materials Project, relaxed with GGA-PBE, the powder XRD pattern of Cd4BiB3O10 was computed for Cu Kα, 1.54184 Å.

Top 10 peaks for 2θ from 10° to 90°, in order of rising 2θ:
| 2θ/deg | I (rel.) |
| --- | --- |
| 20.0 | 48 |
| 24.9 | 33 |
| 30.1 | 100 |
| 30.7 | 48 |
| 30.9 | 20 |
| 31.6 | 29 |
| 34.1 | 26 |
| 48.2 | 24 |
| 49.5 | 23 |
| 51.0 | 17 |

Structure:
Cell: 8.9914 8.9914 3.5669 Å, 94.63 94.63 126.25°
Fractional positions:
Cd 0.1151 0.8849 0.0000
Cd 0.1984 0.5552 0.6824
Cd 0.5552 0.1984 0.6824
Cd 0.8849 0.1151 0.0000
Bi 0.6438 0.6438 0.3327
B 0.2625 0.2625 0.6204
B 0.4966 0.8954 0.2503
B 0.8954 0.4966 0.2503
O 0.0274 0.6755 0.4465
O 0.1030 0.2539 0.5673
O 0.2539 0.1030 0.5673
O 0.4072 0.9530 0.0480
O 0.4097 0.7039 0.2477
O 0.4350 0.4350 0.7304
O 0.6755 0.0274 0.4465
O 0.7039 0.4097 0.2477
O 0.8286 0.8286 0.9111
O 0.9530 0.4072 0.0480